No. 1
Structure and calculated powder diffractogram of Na3NpO6 (a structure optimized by DFT (PBE); Cu Kα X-rays).
No peak broadening, texture or thermal motion is included.

a b c (Å): 5.8339 5.8339 10.2539
angles (deg): 90.00 90.00 120.00
Space group P6_322 (No. 182)
Inequivalent atoms, fractional coordinates:
1 Na 0.0000 0.0000 0.0000 [2 per cell]
2 Na 0.3333 0.6667 0.0680 [4 per cell]
3 Np 0.3333 0.6667 0.7500 [2 per cell]
4 O 0.0750 0.3934 0.6324 [12 per cell]

Main lines, low angle first (15° ≤ 2θ ≤ 90°):
2θ = 17.3°, I 18, (0 0 2)
2θ = 17.6°, I 25, (1 0 0)
2θ = 19.6°, I 100, (1 0 1)
2θ = 24.7°, I 22, (1 0 2)
2θ = 30.6°, I 29, (1 1 0)
2θ = 31.6°, I 39, (1 0 3)
2θ = 35.4°, I 17, (1 1 2)
2θ = 44.6°, I 20, (2 0 3)
2θ = 47.2°, I 21, (1 1 4)
2θ = 55.1°, I 20, (2 1 3)



No. 2
Structure and calculated powder diffractogram of Na4Np2O9 (a structure optimized by DFT (PBE); Cu Kα X-rays).
No peak broadening, texture or thermal motion is included.

a b c (Å): 10.0528 5.8017 15.5102
angles (deg): 90.00 90.03 90.00
Space group C2/c (No. 15)
Inequivalent atoms, fractional coordinates:
1 Na 0.1665 0.0003 0.0174 [8 per cell]
2 Na 0.1668 0.0009 0.3077 [8 per cell]
3 Np 0.0000 0.4991 0.6496 [8 per cell]
4 O 0.0000 0.2394 0.2500 [4 per cell]
5 O 0.0147 0.2045 0.9093 [8 per cell]
6 O 0.1307 0.3683 0.7499 [8 per cell]
7 O 0.1401 0.3318 0.4093 [8 per cell]
8 O 0.1544 0.3752 0.0908 [8 per cell]

Main lines, low angle first (15° ≤ 2θ ≤ 90°):
2θ = 17.6°, I 100, (2 0 0)
2θ = 21.1°, I 17, (1 1 2)
2θ = 29.1°, I 50, (2 0 4)
2θ = 30.8°, I 33, (0 2 0)
2θ = 38.8°, I 15, (0 2 4)
2θ = 39.2°, I 14, (1 1 -6)
2θ = 42.9°, I 19, (2 2 4)
2θ = 47.1°, I 21, (3 1 6)
2θ = 47.9°, I 13, (5 1 0)
2θ = 53.7°, I 20, (5 1 4)



No. 3
Structure and calculated powder diffractogram of NaNpO3 (a structure optimized by DFT (PBE); Cu Kα X-rays).
No peak broadening, texture or thermal motion is included.

a b c (Å): 5.8939 5.8939 10.7242
angles (deg): 90.00 90.00 120.00
Space group P-31c (No. 163)
Inequivalent atoms, fractional coordinates:
1 Na 0.3333 0.6667 0.0644 [4 per cell]
2 Np 0.0000 0.0000 0.2500 [2 per cell]
3 Np 0.3333 0.6667 0.7500 [2 per cell]
4 O 0.0476 0.3398 0.6469 [12 per cell]

Main lines, low angle first (15° ≤ 2θ ≤ 90°):
2θ = 16.5°, I 100, (0 0 2)
2θ = 19.3°, I 77, (1 0 1)
2θ = 24.1°, I 22, (1 0 2)
2θ = 30.3°, I 73, (1 1 0)
2θ = 30.5°, I 37, (1 0 3)
2θ = 34.7°, I 85, (1 1 2)
2θ = 45.8°, I 56, (1 1 4)
2θ = 53.9°, I 23, (3 0 0)
2θ = 56.8°, I 24, (3 0 2)
2θ = 60.6°, I 27, (2 -1 6)



No. 4
Structure and calculated powder diffractogram of NaNp4O12 (a structure optimized by DFT (PBE); Cu Kα X-rays).
No peak broadening, texture or thermal motion is included.

a b c (Å): 8.1888 8.2567 8.2682
angles (deg): 90.00 90.00 90.00
Space group Immm (No. 71)
Inequivalent atoms, fractional coordinates:
1 Na 0.0000 0.0000 0.0000 [2 per cell]
2 Np 0.2500 0.2500 0.2500 [8 per cell]
3 O 0.0000 0.2788 0.2767 [8 per cell]
4 O 0.2108 0.0000 0.2361 [8 per cell]
5 O 0.2156 0.2550 0.0000 [8 per cell]

Main lines, low angle first (15° ≤ 2θ ≤ 90°):
2θ = 21.5°, I 100, (0 2 0)
2θ = 21.7°, I 48, (2 0 0)
2θ = 30.6°, I 34, (0 2 2)
2θ = 30.7°, I 70, (2 2 0)
2θ = 37.8°, I 27, (2 2 2)
2θ = 43.8°, I 22, (0 4 0)
2θ = 49.3°, I 33, (2 0 4)
2θ = 49.7°, I 22, (4 2 0)
2θ = 54.5°, I 31, (2 2 4)
2θ = 68.4°, I 17, (4 2 4)



No. 5
Structure and calculated powder diffractogram of Na3NpO6 (a structure optimized by DFT (PBE); Cu Kα X-rays).
No peak broadening, texture or thermal motion is included.

a b c (Å): 5.7448 21.0192 10.4831
angles (deg): 90.00 90.00 90.00
Space group Fdd2 (No. 43)
Inequivalent atoms, fractional coordinates:
1 Na 0.0000 0.0000 0.0000 [8 per cell]
2 Na 0.0107 0.4088 0.1509 [16 per cell]
3 Np 0.0000 0.0000 0.3268 [8 per cell]
4 O 0.0290 0.1980 0.0804 [16 per cell]
5 O 0.0994 0.1954 0.7081 [16 per cell]
6 O 0.1082 0.1979 0.4433 [16 per cell]

Main lines, low angle first (15° ≤ 2θ ≤ 90°):
2θ = 16.9°, I 75, (0 4 0)
2θ = 18.1°, I 100, (1 1 1)
2θ = 18.9°, I 97, (0 2 2)
2θ = 21.7°, I 78, (1 3 1)
2θ = 27.6°, I 46, (1 5 1)
2θ = 30.2°, I 40, (1 1 3)
2θ = 30.7°, I 34, (0 6 2)
2θ = 32.3°, I 28, (2 2 0)
2θ = 39.7°, I 32, (2 4 2)
2θ = 54.1°, I 28, (2 10 0)



No. 6
Structure and calculated powder diffractogram of Na3NpO6 (a structure optimized by DFT (PBE); Cu Kα X-rays).
No peak broadening, texture or thermal motion is included.

a b c (Å): 5.4038 6.2029 8.5509
angles (deg): 90.02 90.18 90.19
Space group P-1 (No. 2)
Inequivalent atoms, fractional coordinates:
1 Na 0.0000 0.0000 0.0000 [1 per cell]
2 Na 0.0236 0.4500 0.2694 [2 per cell]
3 Na 0.4757 0.9497 0.2308 [2 per cell]
4 Na 0.5000 0.5000 0.5000 [1 per cell]
5 Np 0.0000 0.0000 0.5000 [1 per cell]
6 Np 0.5000 0.5000 0.0000 [1 per cell]
7 O 0.0426 0.0482 0.2763 [2 per cell]
8 O 0.0781 0.2967 0.5333 [2 per cell]
9 O 0.0854 0.4122 0.9781 [2 per cell]
10 O 0.4139 0.9121 0.5215 [2 per cell]
11 O 0.4239 0.7963 0.9660 [2 per cell]
12 O 0.4569 0.5491 0.2236 [2 per cell]

Main lines, low angle first (15° ≤ 2θ ≤ 90°):
2θ = 17.7°, I 100, (0 1 1)
2θ = 19.4°, I 75, (1 0 1)
2θ = 20.8°, I 39, (0 0 2)
2θ = 21.8°, I 51, (1 1 0)
2θ = 28.8°, I 30, (0 2 0)
2θ = 30.3°, I 46, (-1 1 2)
2θ = 33.2°, I 29, (2 0 0)
2θ = 34.6°, I 19, (0 1 3)
2θ = 37.8°, I 20, (2 -1 1)
2θ = 52.0°, I 21, (0 2 4)



No. 7
Structure and calculated powder diffractogram of Na2NpOsO5 (a structure optimized by DFT (PBE); Cu Kα X-rays).
No peak broadening, texture or thermal motion is included.

a b c (Å): 6.3023 6.3023 5.6279
angles (deg): 90.00 90.00 90.00
Space group P4/mbm (No. 127)
Inequivalent atoms, fractional coordinates:
1 Na 0.1638 0.3362 0.0000 [4 per cell]
2 Np 0.0000 0.0000 0.5000 [2 per cell]
3 Os 0.0000 0.5000 0.5000 [2 per cell]
4 O 0.0000 0.0000 0.0000 [2 per cell]
5 O 0.1579 0.6579 0.2796 [8 per cell]

Main lines, low angle first (15° ≤ 2θ ≤ 90°):
2θ = 15.7°, I 100, (0 0 1)
2θ = 28.3°, I 57, (2 0 0)
2θ = 31.8°, I 26, (0 0 2)
2θ = 32.6°, I 95, (2 0 1)
2θ = 40.5°, I 31, (2 2 0)
2θ = 43.1°, I 48, (2 0 2)
2θ = 43.7°, I 38, (2 2 1)
2θ = 52.4°, I 27, (2 2 2)
2θ = 57.1°, I 21, (2 0 3)
2θ = 68.7°, I 21, (4 2 1)



No. 8
Structure and calculated powder diffractogram of Na2NpPtO5 (a structure optimized by DFT (PBE); Cu Kα X-rays).
No peak broadening, texture or thermal motion is included.

a b c (Å): 6.0081 6.0081 6.0198
angles (deg): 90.00 90.00 90.00
Space group P4/mbm (No. 127)
Inequivalent atoms, fractional coordinates:
1 Na 0.1582 0.3418 0.0000 [4 per cell]
2 Np 0.0000 0.0000 0.5000 [2 per cell]
3 Pt 0.0000 0.5000 0.5000 [2 per cell]
4 O 0.0000 0.0000 0.0000 [2 per cell]
5 O 0.1840 0.6840 0.3002 [8 per cell]

Main lines, low angle first (15° ≤ 2θ ≤ 90°):
2θ = 29.7°, I 92, (0 0 2)
2θ = 33.3°, I 100, (2 0 1)
2θ = 42.5°, I 97, (2 2 0)
2θ = 45.3°, I 52, (2 2 1)
2θ = 52.7°, I 30, (2 2 2)
2θ = 55.0°, I 31, (2 0 3)
2θ = 63.8°, I 32, (4 0 1)
2θ = 70.0°, I 24, (4 0 2)
2θ = 72.0°, I 21, (4 2 1)
2θ = 77.8°, I 32, (2 2 4)



No. 9
Structure and calculated powder diffractogram of Rb4NaNp3O12 (a structure optimized by DFT (PBE); Cu Kα X-rays).
No peak broadening, texture or thermal motion is included.

a b c (Å): 8.7380 8.7380 8.7380
angles (deg): 90.00 90.00 90.00
Space group Im-3m (No. 229)
Inequivalent atoms, fractional coordinates:
1 Rb 0.2500 0.2500 0.2500 [8 per cell]
2 Na 0.0000 0.0000 0.0000 [2 per cell]
3 Np 0.0000 0.0000 0.5000 [6 per cell]
4 O 0.0000 0.0000 0.2840 [12 per cell]
5 O 0.0000 0.2500 0.5000 [12 per cell]

Main lines, low angle first (15° ≤ 2θ ≤ 90°):
2θ = 20.3°, I 23, (2 0 0)
2θ = 25.0°, I 14, (2 1 1)
2θ = 28.9°, I 100, (2 2 0)
2θ = 38.6°, I 7, (3 2 1)
2θ = 41.3°, I 30, (4 0 0)
2θ = 46.5°, I 10, (4 2 0)
2θ = 51.2°, I 42, (4 2 2)
2θ = 59.9°, I 19, (4 4 0)
2θ = 67.8°, I 19, (6 2 0)
2θ = 82.6°, I 23, (6 4 2)



No. 10
Structure and calculated powder diffractogram of Na2NpSO8 (a structure optimized by DFT (PBE); Cu Kα X-rays).
No peak broadening, texture or thermal motion is included.

a b c (Å): 5.2310 5.2310 5.7215
angles (deg): 90.00 90.00 120.00
Space group P-3m1 (No. 164)
Inequivalent atoms, fractional coordinates:
1 Na 0.3333 0.6667 0.4049 [2 per cell]
2 Np 0.0000 0.0000 0.0000 [1 per cell]
3 S 0.0000 0.0000 0.5000 [1 per cell]
4 O 0.1465 0.2930 0.6780 [6 per cell]
5 O 0.3333 0.6667 0.0217 [2 per cell]

Main lines, low angle first (15° ≤ 2θ ≤ 90°):
2θ = 19.6°, I 100, (1 0 0)
2θ = 25.1°, I 56, (0 1 1)
2θ = 34.3°, I 38, (1 1 0)
2θ = 37.2°, I 30, (1 0 2)
2θ = 37.8°, I 24, (1 1 1)
2θ = 42.9°, I 24, (2 0 1)
2θ = 47.1°, I 33, (1 1 2)
2θ = 51.5°, I 19, (0 2 2)
2θ = 56.1°, I 17, (2 1 1)
2θ = 63.3°, I 16, (2 1 2)



No. 11
Structure and calculated powder diffractogram of NaNpSb2O8 (a structure optimized by DFT (PBE); Cu Kα X-rays).
No peak broadening, texture or thermal motion is included.

a b c (Å): 6.9833 7.3621 6.3209
angles (deg): 90.00 90.00 90.00
Space group Cmmm (No. 65)
Inequivalent atoms, fractional coordinates:
1 Na 0.0000 0.0000 0.0000 [2 per cell]
2 Np 0.0000 0.0000 0.5000 [2 per cell]
3 Sb 0.0000 0.5000 0.2456 [4 per cell]
4 O 0.0000 0.3177 0.5000 [4 per cell]
5 O 0.0000 0.3236 0.0000 [4 per cell]
6 O 0.2118 0.0000 0.2735 [8 per cell]

Main lines, low angle first (15° ≤ 2θ ≤ 90°):
2θ = 22.5°, I 61, (1 1 1)
2θ = 24.2°, I 77, (0 2 0)
2θ = 25.5°, I 62, (2 0 0)
2θ = 28.1°, I 16, (0 2 1)
2θ = 33.4°, I 100, (1 1 2)
2θ = 35.4°, I 33, (2 2 0)
2θ = 48.8°, I 50, (1 3 2)
2θ = 50.2°, I 40, (3 1 2)
2θ = 58.5°, I 16, (4 2 0)
2θ = 62.3°, I 27, (3 3 2)